Entry 1:
Simulated X-ray diffraction stick pattern of Al2Cd3Ag8 for Cu Kα, 1.54184 Å, from a crystal structure in Alexandria, relaxed with PBE.

Cell and atoms:
```
13
Lattice="2.751 1.588 9.959 -2.751 1.588 9.959 0.000 -3.176 9.959" Properties=species:S:1:pos:R:3 pbc="T T T"
Al 0.000 0.000 4.139
Al 0.000 0.000 25.738
Cd 0.000 0.000 9.476
Cd 0.000 0.000 14.938
Cd 0.000 0.000 20.401
Ag 0.000 0.000 6.648
Ag 0.000 -1.580 11.959
Ag -1.369 0.790 11.959
Ag -1.369 -0.790 17.918
Ag 1.369 0.790 11.959
Ag 1.369 -0.790 17.918
Ag 0.000 1.580 17.918
Ag 0.000 0.000 23.228
```

Main lines, low angle first (2θ from 10° to 80°):
2θ (°)	I (rel.)
17.81	31
28.07	38
32.55	29
37.35	40
38.14	80
38.26	100
39.71	73
42.69	32
61.81	36
68.18	35

Entry 2:
Simulated X-ray diffraction stick pattern of CoAg2Te for Cu Kα, 1.54184 Å, from a crystal structure in Alexandria, relaxed with PBE.

Cell and atoms:
```
4
Lattice="-2.117 2.117 4.052 2.117 -2.117 4.052 2.117 2.117 -4.052" Properties=species:S:1:pos:R:3 pbc="T T T"
Co 0.000 0.000 0.000
Ag 0.000 0.000 4.052
Ag 0.000 2.117 2.026
Te 2.117 0.000 2.026
```

Main lines, low angle first (2θ from 10° to 80°):
2θ (°)	I (rel.)
21.93	2
23.71	5
37.34	100
42.70	34
44.73	15
61.98	11
63.56	20
74.65	24
77.53	11
79.62	10

Entry 3:
Simulated X-ray diffraction stick pattern of Nd6Ge2As3S for Cu Kα, 1.54184 Å, from a crystal structure in Alexandria, relaxed with PBE.

Cell and atoms:
```
12
Lattice="9.264 -2.112 0.000 9.264 2.112 0.000 -1.950 0.000 8.319" Properties=species:S:1:pos:R:3 pbc="T T T"
Nd -0.485 0.000 2.072
Nd 17.064 0.000 6.247
Nd 5.387 0.000 3.444
Nd 4.418 0.000 7.652
Nd 12.161 0.000 0.667
Nd 11.192 0.000 4.875
Ge 2.425 0.000 2.761
Ge 14.154 0.000 5.559
As 1.439 0.000 6.942
As 8.290 0.000 4.160
As 15.141 0.000 1.377
S 9.264 0.000 0.000
```

Main lines, low angle first (2θ from 10° to 80°):
2θ (°)	I (rel.)
25.58	12
25.77	12
29.73	100
42.31	13
42.54	50
42.81	12
52.98	13
61.74	12
69.95	11
70.06	11